1.
The following is a simulated powder X-ray diffraction pattern of KCr2FeO9. It was derived from the GGA+U geometry in the Materials Project, using Cu Kα (weighted mean of Kα1 and Kα2).
No peak broadening, texture or thermal motion is included.

The 10 most intense peaks (2θ = 5–70°), in order of rising 2θ:
2θ (°)	I (rel.)
13.3	42
18.8	42
20.0	41
22.8	60
25.6	21
28.1	100
28.4	19
31.2	31
32.1	41
32.7	41

Crystal structure
```
KCr2FeO9
1.0
7.892 0.000 0.000
0.000 5.577 0.000
-1.936 0.000 9.426
K Cr Fe O
2 4 2 18
direct
0.077 0.250 0.213
0.923 0.750 0.787
0.157 0.250 0.649
0.342 0.750 0.121
0.658 0.250 0.879
0.843 0.750 0.351
0.413 0.750 0.770
0.587 0.250 0.230
0.053 0.750 0.376
0.134 0.750 0.067
0.219 0.250 0.498
0.231 0.502 0.743
0.231 0.998 0.743
0.400 0.000 0.218
0.400 0.500 0.218
0.400 0.750 0.550
0.438 0.750 0.982
0.562 0.250 0.018
0.600 0.000 0.782
0.600 0.250 0.450
0.600 0.500 0.782
0.769 0.002 0.257
0.769 0.498 0.257
0.781 0.750 0.502
0.866 0.250 0.933
0.947 0.250 0.624
```

***

2.
The following is a simulated powder X-ray diffraction pattern of SrCa5Mn4Ga2O16. It was derived from the GGA+U geometry in the Materials Project, using Cu Kα (weighted mean of Kα1 and Kα2).
No peak broadening, texture or thermal motion is included.

The 10 most intense peaks (2θ = 5–70°), in order of rising 2θ:
2θ (°)	I (rel.)
22.7	8
31.8	29
32.8	35
33.3	100
46.3	38
49.1	17
57.6	17
58.9	17
60.4	10
69.8	13

Crystal structure
```
SrCa5Mn4Ga2O16
1.0
5.454 0.000 0.000
0.000 11.129 0.000
-0.005 0.000 5.632
Sr Ca Mn Ga O
1 5 4 2 16
direct
0.000 0.000 0.000
0.483 0.309 0.533
0.483 0.691 0.533
0.510 0.000 0.517
0.981 0.311 0.973
0.981 0.689 0.973
0.495 0.172 0.011
0.495 0.828 0.011
0.996 0.172 0.497
0.996 0.828 0.497
0.435 0.500 0.080
0.936 0.500 0.429
0.017 0.357 0.576
0.017 0.643 0.576
0.085 0.500 0.124
0.238 0.201 0.244
0.238 0.799 0.244
0.254 0.153 0.746
0.254 0.847 0.746
0.497 0.000 0.086
0.515 0.357 0.933
0.515 0.643 0.933
0.586 0.500 0.384
0.741 0.202 0.259
0.741 0.798 0.259
0.745 0.156 0.753
0.745 0.844 0.753
0.985 0.000 0.443
```

***

3.
The following is a simulated powder X-ray diffraction pattern of Li3FePCO7. It was derived from the GGA+U geometry in the Materials Project, using Cu Kα (weighted mean of Kα1 and Kα2).
No peak broadening, texture or thermal motion is included.

The 10 most intense peaks (2θ = 5–70°), in order of rising 2θ:
2θ (°)	I (rel.)
9.9	100
17.0	18
19.9	18
20.6	25
22.5	14
27.3	26
27.8	53
29.6	14
35.7	24
40.4	15

Crystal structure
```
Li3FePCO7
1.0
5.034 0.000 0.000
0.000 6.422 0.000
-0.371 0.000 8.931
Li Fe P C O
6 2 2 2 14
direct
0.000 0.211 0.000
0.000 0.789 0.000
0.370 0.271 0.564
0.370 0.729 0.564
0.665 0.285 0.240
0.665 0.715 0.240
0.415 0.500 0.923
0.961 0.000 0.645
0.491 0.000 0.872
0.869 0.500 0.725
0.225 0.500 0.275
0.913 0.000 0.349
0.145 0.000 0.415
0.330 0.500 0.409
0.384 0.192 0.956
0.384 0.808 0.956
0.397 0.000 0.706
0.397 0.500 0.167
0.560 0.500 0.702
0.701 0.000 0.429
0.801 0.000 0.882
0.875 0.000 0.202
0.927 0.500 0.901
0.972 0.500 0.243
0.996 0.308 0.655
0.996 0.692 0.655
```

***

4.
The following is a simulated powder X-ray diffraction pattern of Ba2LaVO6. It was derived from the GGA+U geometry in the Materials Project, using Cu Kα (weighted mean of Kα1 and Kα2).
No peak broadening, texture or thermal motion is included.

The 10 most intense peaks (2θ = 5–70°), in order of rising 2θ:
2θ (°)	I (rel.)
18.0	6
29.5	100
34.8	6
36.4	6
42.2	30
46.2	4
52.4	40
55.8	2
61.3	18
69.5	18

Crystal structure
```
Ba2LaVO6
1.0
8.556 0.000 0.000
0.000 8.556 0.000
0.000 0.000 8.556
Ba La V O
8 4 4 24
direct
0.250 0.250 0.250
0.250 0.250 0.750
0.250 0.750 0.250
0.250 0.750 0.750
0.750 0.250 0.250
0.750 0.250 0.750
0.750 0.750 0.250
0.750 0.750 0.750
0.000 0.000 0.000
0.000 0.500 0.500
0.500 0.000 0.500
0.500 0.500 0.000
0.000 0.000 0.500
0.000 0.500 0.000
0.500 0.000 0.000
0.500 0.500 0.500
0.017 0.518 0.777
0.017 0.982 0.723
0.018 0.223 0.517
0.018 0.277 0.983
0.223 0.517 0.018
0.223 0.983 0.482
0.277 0.517 0.482
0.277 0.983 0.018
0.482 0.223 0.983
0.482 0.277 0.517
0.483 0.518 0.723
0.483 0.982 0.777
0.517 0.018 0.223
0.517 0.482 0.277
0.518 0.723 0.483
0.518 0.777 0.017
0.723 0.017 0.982
0.723 0.483 0.518
0.777 0.017 0.518
0.777 0.483 0.982
0.982 0.723 0.017
0.982 0.777 0.483
0.983 0.018 0.277
0.983 0.482 0.223
```

***

5.
The following is a simulated powder X-ray diffraction pattern of RbGdMo2O8. It was derived from the GGA+U geometry in the Materials Project, using Cu Kα (weighted mean of Kα1 and Kα2).
No peak broadening, texture or thermal motion is included.

The 10 most intense peaks (2θ = 5–70°), in order of rising 2θ:
2θ (°)	I (rel.)
14.1	17
27.5	100
28.4	65
30.4	31
33.0	10
33.8	21
46.1	16
46.7	14
50.7	10
53.3	14

Crystal structure
```
RbGdMo2O8
1.0
5.437 -5.302 0.000
5.437 5.302 0.000
-5.132 0.000 5.888
Rb Gd Mo O
2 2 4 16
direct
0.199 0.801 0.750
0.801 0.199 0.250
0.229 0.771 0.250
0.771 0.229 0.750
0.304 0.306 0.763
0.306 0.304 0.263
0.694 0.696 0.737
0.696 0.694 0.237
0.050 0.207 0.692
0.070 0.383 0.127
0.207 0.050 0.192
0.235 0.384 0.562
0.368 0.584 0.029
0.383 0.070 0.627
0.384 0.235 0.062
0.416 0.632 0.471
0.584 0.368 0.529
0.616 0.765 0.938
0.617 0.930 0.373
0.632 0.416 0.971
0.765 0.616 0.438
0.793 0.950 0.808
0.930 0.617 0.873
0.950 0.793 0.308
```

***

6.
The following is a simulated powder X-ray diffraction pattern of LiMn2P2O10. It was derived from the GGA+U geometry in the Materials Project, using Cu Kα (weighted mean of Kα1 and Kα2).
No peak broadening, texture or thermal motion is included.

The 10 most intense peaks (2θ = 5–70°), in order of rising 2θ:
2θ (°)	I (rel.)
17.2	36
19.5	46
20.7	84
21.3	29
21.8	100
26.1	33
27.7	77
29.3	30
32.8	81
45.0	45

Crystal structure
```
LiMn2P2O10
1.0
4.948 0.000 0.000
0.000 10.303 0.000
-2.142 0.000 6.667
Li Mn P O
2 4 4 20
direct
0.122 0.000 0.084
0.878 0.500 0.916
0.119 0.531 0.565
0.378 0.671 0.932
0.622 0.171 0.068
0.881 0.031 0.435
0.026 0.750 0.223
0.473 0.446 0.280
0.527 0.946 0.720
0.974 0.250 0.777
0.019 0.641 0.750
0.075 0.383 0.728
0.188 0.675 0.415
0.218 0.167 0.911
0.235 0.786 0.103
0.261 0.416 0.396
0.273 0.025 0.590
0.306 0.527 0.090
0.420 0.821 0.786
0.480 0.554 0.756
0.520 0.054 0.244
0.580 0.321 0.214
0.694 0.027 0.910
0.727 0.525 0.410
0.739 0.916 0.604
0.765 0.286 0.897
0.782 0.667 0.089
0.812 0.175 0.585
0.925 0.883 0.272
0.981 0.141 0.250
```

***

7.
The following is a simulated powder X-ray diffraction pattern of RbMnO4. It was derived from the GGA+U geometry in the Materials Project, using Cu Kα (weighted mean of Kα1 and Kα2).
No peak broadening, texture or thermal motion is included.

The 10 most intense peaks (2θ = 5–70°), in order of rising 2θ:
2θ (°)	I (rel.)
20.9	19
22.7	31
23.7	82
24.5	35
26.3	100
28.8	57
30.0	43
38.9	64
39.2	58
49.9	23

Crystal structure
```
RbMnO4
1.0
9.693 0.000 0.000
0.000 5.953 0.000
0.000 0.000 7.827
Rb Mn O
4 4 16
direct
0.185 0.250 0.156
0.315 0.750 0.656
0.685 0.250 0.344
0.815 0.750 0.844
0.058 0.250 0.697
0.442 0.750 0.197
0.558 0.250 0.803
0.942 0.750 0.303
0.080 0.028 0.814
0.080 0.472 0.814
0.097 0.750 0.380
0.170 0.250 0.543
0.330 0.750 0.043
0.403 0.250 0.880
0.420 0.528 0.314
0.420 0.972 0.314
0.580 0.028 0.686
0.580 0.472 0.686
0.597 0.750 0.120
0.670 0.250 0.957
0.830 0.750 0.457
0.903 0.250 0.620
0.920 0.528 0.186
0.920 0.972 0.186
```